Entry 1:
# Th4H15
Theoretical powder X-ray diffraction pattern, CuKα. Input: a cell relaxed with PBE.

Principal peaks in the range 15 to 90 degrees two-theta, by angle:
- 2θ = 23.89°, 3.725 Å, I = 33
- 2θ = 27.65°, 3.226 Å, I = 100
- 2θ = 30.99°, 2.886 Å, I = 51
- 2θ = 36.85°, 2.439 Å, I = 22
- 2θ = 46.69°, 1.946 Å, I = 23
- 2θ = 48.90°, 1.863 Å, I = 15
- 2θ = 51.03°, 1.790 Å, I = 40
- 2θ = 55.13°, 1.666 Å, I = 28
- 2θ = 73.36°, 1.291 Å, I = 13
- 2θ = 76.75°, 1.242 Å, I = 17

Crystal structure
Cell: 7.903 7.903 7.903 Å, 109.47 109.47 109.47°
Fractional coordinates of all 38 atoms:
Th 0.000 0.084 0.500
Th 0.000 0.584 0.500
Th 0.084 0.500 0.000
Th 0.416 0.416 0.416
Th 0.500 0.000 0.084
Th 0.500 0.000 0.584
Th 0.584 0.500 0.000
Th 0.916 0.916 0.916
H 0.030 0.904 0.683
H 0.096 0.279 0.126
H 0.125 0.750 0.875
H 0.126 0.096 0.279
H 0.153 0.874 0.470
H 0.183 0.404 0.530
H 0.221 0.317 0.847
H 0.250 0.625 0.375
H 0.279 0.126 0.096
H 0.317 0.847 0.221
H 0.347 0.817 0.721
H 0.374 0.653 0.970
H 0.375 0.250 0.625
H 0.404 0.530 0.183
H 0.470 0.153 0.874
H 0.530 0.183 0.404
H 0.596 0.626 0.779
H 0.625 0.375 0.250
H 0.626 0.779 0.596
H 0.653 0.970 0.374
H 0.683 0.030 0.904
H 0.721 0.347 0.817
H 0.750 0.875 0.125
H 0.779 0.596 0.626
H 0.817 0.721 0.347
H 0.847 0.221 0.317
H 0.874 0.470 0.153
H 0.875 0.125 0.750
H 0.904 0.683 0.030
H 0.970 0.374 0.653

***

Entry 2:
# Sc3IrC4
Theoretical powder X-ray diffraction pattern, CuKα. Input: a cell relaxed with PBE.

Principal peaks in the range 15 to 90 degrees two-theta, by angle:
- 2θ = 21.20°, 4.192 Å, I = 56
- 2θ = 26.99°, 3.303 Å, I = 23
- 2θ = 29.07°, 3.072 Å, I = 20
- 2θ = 34.10°, 2.630 Å, I = 24
- 2θ = 36.13°, 2.486 Å, I = 100
- 2θ = 40.46°, 2.230 Å, I = 19
- 2θ = 41.98°, 2.152 Å, I = 23
- 2θ = 44.50°, 2.036 Å, I = 38
- 2θ = 50.58°, 1.804 Å, I = 14
- 2θ = 53.91°, 1.701 Å, I = 20

Crystal structure
Cell: 6.757 6.757 5.625 Å, 96.13 96.13 130.80°
Fractional coordinates of all 16 atoms:
Sc 0.190 0.810 0.000
Sc 0.239 0.239 0.763
Sc 0.309 0.691 0.500
Sc 0.691 0.309 0.500
Sc 0.761 0.761 0.237
Sc 0.810 0.190 0.000
Ir 0.271 0.271 0.272
Ir 0.729 0.729 0.728
C 0.047 0.791 0.582
C 0.209 0.953 0.418
C 0.290 0.548 0.082
C 0.452 0.710 0.918
C 0.548 0.290 0.082
C 0.710 0.452 0.918
C 0.791 0.047 0.582
C 0.953 0.209 0.418